For Tm3VO6, a cell relaxed with PBE+U gives the computed X-ray diffraction stick pattern in this record (λ = 1.5418 Å (Cu Kα)).
Neutral-atom scattering factors, no anomalous dispersion.

Cell and atoms:
```
data_Tm3VO6
_space_group_name_H-M_alt 'R -3'
_space_group_IT_number 148
_space_group_name_Hall '-R 3'
_cell_length_a 9.3109
_cell_length_b 9.3109
_cell_length_c 10.7000
_cell_angle_alpha 90.00
_cell_angle_beta 90.00
_cell_angle_gamma 120.00
loop_
_atom_site_label
_atom_site_fract_x
_atom_site_fract_y
_atom_site_fract_z
Tm1 0.0423 0.7751 0.2032
V1 0.0000 0.0000 0.0000
V2 0.0000 0.0000 0.5000
O1 0.0274 0.8195 0.4027
O2 0.0280 0.8424 0.8812
```

Largest 8 diffraction maxima, by angle, 5° ≤ 2θ ≤ 70°:
2theta	Rel. int.
25.0	405
30.5	1000
31.6	384
33.8	478
43.9	198
45.1	270
52.0	227
63.4	169